[1]
Theoretical powder diffractogram of Er3S4 for Cu Kα, from a crystal structure in Alexandria, relaxed with PBE.
Neutral-atom scattering factors, no anomalous dispersion.

Principal peaks in the range 10 to 80 degrees two-theta, low angle first:
2θ 14.0, 6.316 Å, intensity 53
2θ 16.4, 5.399 Å, intensity 18
2θ 26.9, 3.309 Å, intensity 21
2θ 28.3, 3.156 Å, intensity 93
2θ 32.6, 2.750 Å, intensity 100
2θ 33.2, 2.699 Å, intensity 47
2θ 46.7, 1.947 Å, intensity 18
2θ 47.2, 1.926 Å, intensity 70
2θ 55.5, 1.655 Å, intensity 32
2θ 58.5, 1.578 Å, intensity 36

Cell and atoms:
a b c (Å): 6.6564 6.6564 3.8846
angles (deg): 90.00 90.00 108.40
Fractional positions:
Er1 0.0000 0.0000 0.0000
Er2 0.0000 0.5000 0.5000
Er3 0.5000 0.0000 0.5000
S1 0.2419 0.2419 0.5000
S2 0.2530 0.7470 0.0000
S3 0.7470 0.2530 0.0000
S4 0.7581 0.7581 0.5000

***

[2]
Theoretical powder diffractogram of Tl2Zn2HgCl6 for Cu Kα, from a crystal structure in Alexandria, relaxed with PBE.
Neutral-atom scattering factors, no anomalous dispersion.

Principal peaks in the range 10 to 80 degrees two-theta, low angle first:
2θ 13.5, 6.566 Å, intensity 97
2θ 16.6, 5.347 Å, intensity 70
2θ 17.2, 5.162 Å, intensity 80
2θ 21.5, 4.124 Å, intensity 94
2θ 22.3, 3.995 Å, intensity 100
2θ 24.2, 3.681 Å, intensity 37
2θ 27.2, 3.284 Å, intensity 44
2θ 30.7, 2.914 Å, intensity 47
2θ 31.8, 2.815 Å, intensity 54
2θ 33.5, 2.674 Å, intensity 47

Cell and atoms:
a b c (Å): 6.9814 7.9746 8.1561
angles (deg): 79.65 73.66 76.24
Fractional positions:
Tl1 0.0194 0.2751 0.2756
Tl2 0.9806 0.7249 0.7244
Zn1 0.4981 0.6529 0.3332
Zn2 0.5019 0.3471 0.6668
Hg1 0.0000 0.0000 0.0000
Cl1 0.2836 0.9029 0.3866
Cl2 0.2860 0.4217 0.9122
Cl3 0.3038 0.4302 0.4567
Cl4 0.6962 0.5698 0.5433
Cl5 0.7140 0.5783 0.0878
Cl6 0.7164 0.0971 0.6134

***

[3]
Theoretical powder diffractogram of HoTh4Te5 for Cu Kα, from a crystal structure in Alexandria, relaxed with PBE.
Neutral-atom scattering factors, no anomalous dispersion.

Principal peaks in the range 10 to 80 degrees two-theta, low angle first:
2θ 23.2, 3.838 Å, intensity 8
2θ 33.0, 2.714 Å, intensity 100
2θ 47.3, 1.921 Å, intensity 12
2θ 47.5, 1.914 Å, intensity 6
2θ 58.9, 1.568 Å, intensity 26
2θ 59.0, 1.565 Å, intensity 13
2θ 69.1, 1.359 Å, intensity 4
2θ 69.3, 1.356 Å, intensity 8
2θ 78.8, 1.215 Å, intensity 11
2θ 79.1, 1.211 Å, intensity 5

Cell and atoms:
a b c (Å): 3.8426 3.8426 19.1384
angles (deg): 90.00 90.00 90.00
Fractional positions:
Ho1 0.0000 0.0000 0.0000
Th1 0.0000 0.0000 0.1974
Th2 0.0000 0.0000 0.3990
Th3 0.0000 0.0000 0.6010
Th4 0.0000 0.0000 0.8026
Te1 0.5000 0.5000 0.0977
Te2 0.5000 0.5000 0.2985
Te3 0.5000 0.5000 0.5000
Te4 0.5000 0.5000 0.7015
Te5 0.5000 0.5000 0.9023

***

[4]
Theoretical powder diffractogram of Cr2Ni5Rh2 for Cu Kα, from a crystal structure in Alexandria, relaxed with PBE.
Neutral-atom scattering factors, no anomalous dispersion.

Principal peaks in the range 10 to 80 degrees two-theta, low angle first:
2θ 26.4, 3.377 Å, intensity 7
2θ 43.2, 2.095 Å, intensity 100
2θ 43.3, 2.089 Å, intensity 98
2θ 49.9, 1.829 Å, intensity 32
2θ 50.1, 1.821 Å, intensity 31
2θ 51.2, 1.786 Å, intensity 30
2θ 73.2, 1.293 Å, intensity 9
2θ 73.5, 1.288 Å, intensity 9
2θ 74.2, 1.278 Å, intensity 18
2θ 74.4, 1.275 Å, intensity 18

Cell and atoms:
a b c (Å): 5.7489 5.7489 5.7733
angles (deg): 107.23 107.23 36.19
Fractional positions:
Cr1 0.0598 0.0598 0.3326
Cr2 0.9402 0.9402 0.6674
Ni1 0.1653 0.1653 0.0107
Ni2 0.2815 0.2815 0.6658
Ni3 0.5000 0.5000 0.0000
Ni4 0.7185 0.7185 0.3342
Ni5 0.8347 0.8347 0.9893
Rh1 0.3895 0.3895 0.3281
Rh2 0.6105 0.6105 0.6719

***

[5]
Theoretical powder diffractogram of KPu4O12 for Cu Kα, from a crystal structure in Alexandria, relaxed with PBE.
Neutral-atom scattering factors, no anomalous dispersion.

Principal peaks in the range 10 to 80 degrees two-theta, low angle first:
2θ 21.4, 4.160 Å, intensity 100
2θ 30.4, 2.941 Å, intensity 75
2θ 37.4, 2.402 Å, intensity 17
2θ 43.5, 2.080 Å, intensity 23
2θ 49.0, 1.860 Å, intensity 46
2θ 54.0, 1.698 Å, intensity 32
2θ 63.2, 1.471 Å, intensity 15
2θ 67.6, 1.387 Å, intensity 22
2θ 71.8, 1.315 Å, intensity 14
2θ 75.9, 1.254 Å, intensity 8

Cell and atoms:
a b c (Å): 7.2050 7.2050 7.2050
angles (deg): 109.47 109.47 109.47
Fractional positions:
K1 0.0000 0.0000 0.0000
Pu1 0.0000 0.0000 0.5000
Pu2 0.0000 0.5000 0.0000
Pu3 0.5000 0.0000 0.0000
Pu4 0.5000 0.5000 0.5000
O1 0.0020 0.7547 0.2473
O2 0.2453 0.2473 0.4927
O3 0.2453 0.7527 0.9980
O4 0.2473 0.0020 0.7547
O5 0.2473 0.4927 0.2453
O6 0.4927 0.2453 0.2473
O7 0.5073 0.7547 0.7527
O8 0.7527 0.5073 0.7547
O9 0.7527 0.9980 0.2453
O10 0.7547 0.2473 0.0020
O11 0.7547 0.7527 0.5073
O12 0.9980 0.2453 0.7527

***

[6]
Theoretical powder diffractogram of Ba2CePaSb4 for Cu Kα, from a crystal structure in Alexandria, relaxed with PBE.
Neutral-atom scattering factors, no anomalous dispersion.

Principal peaks in the range 10 to 80 degrees two-theta, low angle first:
2θ 11.2, 7.902 Å, intensity 10
2θ 26.7, 3.333 Å, intensity 100
2θ 37.7, 2.387 Å, intensity 35
2θ 38.7, 2.327 Å, intensity 39
2θ 47.7, 1.908 Å, intensity 20
2θ 55.1, 1.667 Å, intensity 11
2θ 61.6, 1.506 Å, intensity 13
2θ 63.0, 1.476 Å, intensity 18
2θ 69.4, 1.355 Å, intensity 11
2θ 70.0, 1.344 Å, intensity 7

Cell and atoms:
a b c (Å): 8.0595 4.6559 8.3445
angles (deg): 90.00 108.75 90.00
Fractional positions:
Ba1 0.0000 0.0000 0.0000
Ba2 0.5000 0.5000 0.0000
Ce1 0.0000 0.5000 0.5000
Pa1 0.5000 0.0000 0.5000
Sb1 0.2473 0.0000 0.7105
Sb2 0.2732 0.5000 0.2924
Sb3 0.7268 0.5000 0.7076
Sb4 0.7527 0.0000 0.2895

***

Please write out number 5 again, unchanged.
Theoretical powder diffractogram of KPu4O12 for Cu Kα, from a crystal structure in Alexandria, relaxed with PBE.
Neutral-atom scattering factors, no anomalous dispersion.

Principal peaks in the range 10 to 80 degrees two-theta, low angle first:
2θ 21.4, 4.160 Å, intensity 100
2θ 30.4, 2.941 Å, intensity 75
2θ 37.4, 2.402 Å, intensity 17
2θ 43.5, 2.080 Å, intensity 23
2θ 49.0, 1.860 Å, intensity 46
2θ 54.0, 1.698 Å, intensity 32
2θ 63.2, 1.471 Å, intensity 15
2θ 67.6, 1.387 Å, intensity 22
2θ 71.8, 1.315 Å, intensity 14
2θ 75.9, 1.254 Å, intensity 8

Cell and atoms:
a b c (Å): 7.2050 7.2050 7.2050
angles (deg): 109.47 109.47 109.47
Fractional positions:
K1 0.0000 0.0000 0.0000
Pu1 0.0000 0.0000 0.5000
Pu2 0.0000 0.5000 0.0000
Pu3 0.5000 0.0000 0.0000
Pu4 0.5000 0.5000 0.5000
O1 0.0020 0.7547 0.2473
O2 0.2453 0.2473 0.4927
O3 0.2453 0.7527 0.9980
O4 0.2473 0.0020 0.7547
O5 0.2473 0.4927 0.2453
O6 0.4927 0.2453 0.2473
O7 0.5073 0.7547 0.7527
O8 0.7527 0.5073 0.7547
O9 0.7527 0.9980 0.2453
O10 0.7547 0.2473 0.0020
O11 0.7547 0.7527 0.5073
O12 0.9980 0.2453 0.7527

***

What did the fourth record say?
Theoretical powder diffractogram of Cr2Ni5Rh2 for Cu Kα, from a crystal structure in Alexandria, relaxed with PBE.
Neutral-atom scattering factors, no anomalous dispersion.

Principal peaks in the range 10 to 80 degrees two-theta, low angle first:
2θ 26.4, 3.377 Å, intensity 7
2θ 43.2, 2.095 Å, intensity 100
2θ 43.3, 2.089 Å, intensity 98
2θ 49.9, 1.829 Å, intensity 32
2θ 50.1, 1.821 Å, intensity 31
2θ 51.2, 1.786 Å, intensity 30
2θ 73.2, 1.293 Å, intensity 9
2θ 73.5, 1.288 Å, intensity 9
2θ 74.2, 1.278 Å, intensity 18
2θ 74.4, 1.275 Å, intensity 18

Cell and atoms:
a b c (Å): 5.7489 5.7489 5.7733
angles (deg): 107.23 107.23 36.19
Fractional positions:
Cr1 0.0598 0.0598 0.3326
Cr2 0.9402 0.9402 0.6674
Ni1 0.1653 0.1653 0.0107
Ni2 0.2815 0.2815 0.6658
Ni3 0.5000 0.5000 0.0000
Ni4 0.7185 0.7185 0.3342
Ni5 0.8347 0.8347 0.9893
Rh1 0.3895 0.3895 0.3281
Rh2 0.6105 0.6105 0.6719